Diffraction record for PuScZn. The powder diffractogram is theoretical, not measured: it uses the PBE geometry in Alexandria and Cu Kα, 1.54184 Å.
No peak broadening, texture or thermal motion is included.

Cell: 7.897 7.897 4.748 Å, 90.00 90.00 154.35°
Fractional coordinates of all 6 atoms:
Pu (0.236, 0.764, 0.750)
Pu (0.764, 0.236, 0.250)
Sc (0.078, 0.922, 0.250)
Sc (0.922, 0.078, 0.750)
Zn (0.427, 0.573, 0.250)
Zn (0.573, 0.427, 0.750)

Largest 8 diffraction maxima, in order of rising 2θ, 2θ = 5–70°:
11.49 deg, 7.700 Å, I 79
23.10 deg, 3.850 Å, I 23
32.27 deg, 2.774 Å, I 38
34.96 deg, 2.567 Å, I 23
36.35 deg, 2.472 Å, I 100
37.90 deg, 2.374 Å, I 24
52.51 deg, 1.743 Å, I 15
67.46 deg, 1.388 Å, I 20